Starting from the GGA-PBE geometry in Alexandria, the powder diffraction line list of Nd2YSe2O2 was simulated for CuKα.
Kinematic intensities with the Lorentz-polarization factor, no thermal factor.

The 8 most intense peaks (10 to 80 degrees two-theta), low angle first:
| two_theta | I (rel.) |
| --- | --- |
| 26.76 | 22 |
| 29.16 | 100 |
| 35.40 | 79 |
| 37.30 | 27 |
| 41.72 | 48 |
| 45.70 | 16 |
| 55.83 | 47 |
| 68.52 | 18 |

Cell and atoms:
Cell lengths 8.3988, 8.3988, 8.3988 Å; angles 150.12, 150.12, 42.76 degrees
Fractional coordinates of all 7 atoms:
Nd  0.1273  0.1273  0.0000
Nd  0.8727  0.8727  0.0000
Y  0.5000  0.5000  0.0000
Se  0.3193  0.3193  0.0000
Se  0.6807  0.6807  0.0000
O  0.0000  0.5000  0.5000
O  0.5000  0.0000  0.5000